Diffraction record for LiY2F7. The PXRD pattern is calculated, not measured: it uses a crystal structure in Alexandria, relaxed with PBE and copper Kα.
Lines closer than 0.1° are merged.

Structural model:
```
data_LiY2F7
_chemical_formula_sum 'Li3 Y6 F21'
_symmetry_space_group_name_H-M 'R -3 m'
_symmetry_Int_Tables_number 166
_symmetry_space_group_name_Hall '-R 3 2"'
_cell_length_a 3.9628
_cell_length_b 3.9628
_cell_length_c 30.7028
_cell_angle_alpha 90.00
_cell_angle_beta 90.00
_cell_angle_gamma 120.00
loop_
_atom_site_label
_atom_site_type_symbol
_atom_site_fract_x
_atom_site_fract_y
_atom_site_fract_z
Li1 Li 0.0000 0.0000 0.0000
Y1 Y 0.0000 0.0000 0.4279
F1 F 0.0000 0.0000 0.0757
F2 F 0.0000 0.0000 0.2232
F3 F 0.0000 0.0000 0.3585
F4 F 0.0000 0.0000 0.5000
```

The 8 most intense peaks (2θ = 5–70°), by angle:
d 5.117, 2θ = 17.3°, I 92, hkl 0 0 6
d 3.411, 2θ = 26.1°, I 100, hkl 1 0 1
d 3.349, 2θ = 26.6°, I 40, hkl 0 1 2
d 2.996, 2θ = 29.8°, I 29, hkl 0 1 5
d 2.558, 2θ = 35.1°, I 36, hkl 0 0 12
d 1.981, 2θ = 45.8°, I 68, hkl 1 1 0
d 1.848, 2θ = 49.3°, I 82, hkl 0 1 14
d 1.713, 2θ = 53.5°, I 23, hkl 0 2 1